(1)
The following is a computed X-ray powder pattern of ZnCo15. It was derived from DFT lattice parameters and positions (GGA-PBE), using λ = 1.5418 Å (Cu Kα).
No peak broadening, texture or thermal motion is included.

Structure:
```
ZnCo15
1.0
6.960 0.000 0.000
0.000 2.486 0.000
-0.001 0.000 33.606
Zn Co
2 30
Cartesian
0.870 0.621 9.406
6.090 1.864 24.200
0.870 0.621 1.857
0.870 0.621 4.363
0.870 0.621 6.792
0.870 0.621 28.008
0.869 0.621 30.500
0.870 0.621 32.990
0.896 0.621 25.523
2.610 1.864 0.624
2.610 1.864 3.101
2.610 1.864 5.601
2.609 1.864 24.367
2.609 1.864 26.741
2.610 1.864 29.263
2.609 1.864 31.735
2.636 1.864 8.083
4.323 0.621 25.523
4.350 0.621 1.872
4.349 0.621 4.344
4.350 0.621 6.865
4.350 0.621 9.239
4.349 0.621 28.005
4.350 0.621 30.505
4.349 0.621 32.982
6.063 1.864 8.083
6.090 1.864 0.617
6.090 1.864 3.106
6.090 1.864 5.598
6.090 1.864 26.814
6.089 1.864 29.243
6.090 1.864 31.750
```

Top 12 peaks for 15° ≤ 2θ ≤ 90°, by angle:
Position (°2θ)	I_rel
15.8	4.7
39.2	4.7
43.6	51.8
44.8	100.0
45.9	45.7
51.0	31.7
52.6	30.0
53.0	28.9
76.3	17.2
76.5	5.7
76.7	8.9
78.0	16.7


(2)
The following is a computed X-ray powder pattern of PrNd2Si4Ni2Au2. It was derived from DFT lattice parameters and positions (GGA-PBE), using λ = 1.5418 Å (Cu Kα).
No peak broadening, texture or thermal motion is included.

Structure:
```
PrNd2Si4Ni2Au2
1.0
-2.081 2.113 12.151
2.081 -2.113 12.151
2.081 2.113 -12.151
Pr Nd Si Ni Au
1 2 4 2 2
Cartesian
0.000 0.000 0.000
2.081 0.000 8.380
0.000 2.113 3.771
2.081 0.000 4.988
0.000 0.000 10.959
0.000 0.000 13.343
0.000 2.113 7.163
0.000 0.000 6.063
0.000 0.000 18.239
2.081 0.000 2.466
0.000 2.113 9.685
```

Top 12 peaks for 15° ≤ 2θ ≤ 90°, by angle:
Position (°2θ)	I_rel
21.3	12.4
28.2	26.8
30.1	13.8
33.6	100.0
39.6	25.3
42.8	18.1
43.5	17.4
52.1	10.2
60.3	14.8
62.7	11.6
69.5	11.2
73.5	10.3